Simulated powder diffractogram
Compound: Ac4TeS3
Radiation: Cu Kα X-rays
Structure: DFT lattice parameters and positions (PBE)
No peak broadening, texture or thermal motion is included.

Peak list (8 most intense, 2θ = 10–90°, in order of rising 2θ)
| h k l | two_theta | d/Å | I/Imax |
| --- | --- | --- | --- |
| 0 0 4 | 23.48 | 3.789 | 13 |
| 1 0 2 | 26.52 | 3.361 | 100 |
| 0 1 4 | 33.62 | 2.666 | 40 |
| 1 1 0 | 41.71 | 2.165 | 33 |
| 1 0 6 | 43.18 | 2.095 | 19 |
| 1 1 4 | 48.42 | 1.880 | 12 |
| 0 2 2 | 50.11 | 1.820 | 18 |
| 2 1 2 | 67.19 | 1.393 | 15 |

Cell and atoms:
a = 4.331 Å, b = 4.331 Å, c = 15.157 Å
α = 90.00°, β = 90.00°, γ = 120.00°
Fractional positions:
Ac 0.333 0.667 0.351
Ac 0.333 0.667 0.879
Ac 0.667 0.333 0.121
Ac 0.667 0.333 0.649
Te 0.000 0.000 0.500
S 0.000 0.000 0.000
S 0.000 0.000 0.237
S 0.000 0.000 0.763